# 1
Pa2Fe2Si: theoretical powder diffractogram (λ = 1.5418 Å (Cu Kα)), based on a cell relaxed with PBE.
Neutral-atom scattering factors, no anomalous dispersion.

Peak list (8 most intense, 5° ≤ 2θ ≤ 70°, in order of falling intensity)
| (hkl) | 2theta | Rel. int. |
| --- | --- | --- |
| 1 1 0 | 26.9 | 100 |
| 1 1 2 | 36.4 | 74 |
| 0 2 2 | 41.1 | 36 |
| 1 0 3 | 42.5 | 35 |
| 0 1 3 | 40.1 | 32 |
| 1 2 1 | 41.3 | 29 |
| 2 0 0 | 43.3 | 28 |
| 2 2 2 | 61.2 | 22 |

Cell and atoms:
```
data_Pa2Fe2Si
_chemical_formula_sum 'Pa4 Fe4 Si2'
_cell_length_a 4.182
_cell_length_b 5.460
_cell_length_c 7.401
_cell_angle_alpha 90.00
_cell_angle_beta 90.00
_cell_angle_gamma 90.00
_symmetry_space_group_name_H-M 'I m m m'
_symmetry_Int_Tables_number 71
_symmetry_space_group_name_Hall '-I 2 2'
loop_
_atom_site_label
_atom_site_type_symbol
_atom_site_fract_x
_atom_site_fract_y
_atom_site_fract_z
Pa1 Pa 0.000 0.000 0.198
Fe1 Fe 0.000 0.243 0.500
Si1 Si 0.000 0.500 0.000
```

# 2
PaFe4Si4: theoretical powder diffractogram (λ = 1.5418 Å (Cu Kα)), based on a cell relaxed with PBE.
Neutral-atom scattering factors, no anomalous dispersion.

Peak list (8 most intense, 5° ≤ 2θ ≤ 70°, in order of falling intensity)
| (hkl) | 2theta | Rel. int. |
| --- | --- | --- |
| 2 1 1 | 38.1 | 100 |
| 1 1 2 | 32.3 | 39 |
| 0 0 2 | 22.7 | 25 |
| 3 0 3 | 61.5 | 23 |
| 1 0 1 | 19.6 | 22 |
| 1 1 4 | 52.1 | 15 |
| 2 0 4 | 57.6 | 13 |
| 2 0 2 | 39.8 | 13 |

Cell and atoms:
```
data_PaFe4Si4
_chemical_formula_sum 'Pa2 Fe8 Si8'
_cell_length_a 5.541
_cell_length_b 5.541
_cell_length_c 7.858
_cell_angle_alpha 90.00
_cell_angle_beta 90.00
_cell_angle_gamma 90.00
_symmetry_space_group_name_H-M 'P 42/n m c'
_symmetry_Int_Tables_number 137
loop_
_symmetry_equiv_pos_as_xyz
'x,y,z'
'-x,-y,-z'
'-y+1/2,x,z+1/2'
'y+1/2,-x,-z+1/2'
'-x+1/2,-y+1/2,z'
'x+1/2,y+1/2,-z'
'y,-x+1/2,z+1/2'
'-y,x+1/2,-z+1/2'
'x+1/2,-y,-z'
'-x+1/2,y,z'
'-y,-x,-z+1/2'
'y,x,z+1/2'
'-x,y+1/2,-z'
'x,-y+1/2,z'
'y+1/2,x+1/2,-z+1/2'
'-y+1/2,-x+1/2,z+1/2'
loop_
_atom_site_label
_atom_site_type_symbol
_atom_site_fract_x
_atom_site_fract_y
_atom_site_fract_z
Pa1 Pa 0.250 0.750 0.250
Fe1 Fe 0.016 0.250 0.140
Si1 Si 0.043 0.250 0.434
```

# 3
Pa2Fe12Si7: theoretical powder diffractogram (λ = 1.5418 Å (Cu Kα)), based on a cell relaxed with PBE.
Neutral-atom scattering factors, no anomalous dispersion.

Peak list (8 most intense, 5° ≤ 2θ ≤ 70°, in order of falling intensity)
| (hkl) | 2theta | Rel. int. |
| --- | --- | --- |
| 2 1 1 | 38.6 | 100 |
| 1 0 1 | 26.5 | 25 |
| 1 1 0 | 19.4 | 18 |
| 3 2 1 | 56.3 | 16 |
| 3 0 0 | 33.9 | 16 |
| 1 4 0 | 52.9 | 15 |
| 0 0 2 | 49.1 | 15 |
| 2 0 1 | 33.1 | 14 |

Cell and atoms:
```
data_Pa2Fe12Si7
_chemical_formula_sum 'Pa2 Fe12 Si7'
_cell_length_a 9.1531
_cell_length_b 9.1531
_cell_length_c 3.7140
_cell_angle_alpha 90.00
_cell_angle_beta 90.00
_cell_angle_gamma 120.00
_symmetry_space_group_name_H-M 'P -6'
_symmetry_Int_Tables_number 174
loop_
_symmetry_equiv_pos_as_xyz
'x,y,z'
'-x+y,-x,-z'
'-y,x-y,z'
'x,y,-z'
'-x+y,-x,z'
'-y,x-y,-z'
loop_
_atom_site_label
_atom_site_type_symbol
_atom_site_fract_x
_atom_site_fract_y
_atom_site_fract_z
Pa1 Pa 0.0000 0.0000 0.0000
Pa2 Pa 0.3333 0.6667 0.5000
Fe1 Fe 0.0380 0.2772 0.5000
Fe2 Fe 0.1058 0.7139 0.0000
Fe3 Fe 0.3835 0.1838 0.0000
Fe4 Fe 0.5576 0.4347 0.5000
Si1 Si 0.0622 0.4460 0.0000
Si2 Si 0.2680 0.2349 0.5000
Si3 Si 0.6667 0.3333 0.0000
```

# 4
Pa3Fe6Si2: theoretical powder diffractogram (λ = 1.5418 Å (Cu Kα)), based on a cell relaxed with PBE.
Neutral-atom scattering factors, no anomalous dispersion.

Peak list (8 most intense, 5° ≤ 2θ ≤ 70°, in order of falling intensity)
| (hkl) | 2theta | Rel. int. |
| --- | --- | --- |
| 3 3 0 | 44.4 | 100 |
| 2 2 2 | 35.9 | 63 |
| 2 1 1 | 25.2 | 53 |
| 3 1 0 | 32.7 | 52 |
| 5 2 1 | 58.4 | 44 |
| 3 2 1 | 38.9 | 30 |
| 4 0 0 | 41.7 | 27 |
| 2 0 0 | 20.5 | 24 |

Cell and atoms:
```
data_Pa3Fe6Si2
_chemical_formula_sum 'Pa12 Fe24 Si8'
_cell_length_a 8.657
_cell_length_b 8.657
_cell_length_c 8.657
_cell_angle_alpha 90.00
_cell_angle_beta 90.00
_cell_angle_gamma 90.00
_symmetry_space_group_name_H-M 'I m -3 m'
_symmetry_Int_Tables_number 229
_symmetry_space_group_name_Hall '-I 4 2 3'
loop_
_atom_site_label
_atom_site_type_symbol
_atom_site_fract_x
_atom_site_fract_y
_atom_site_fract_z
Pa1 Pa 0.000 0.000 0.284
Fe1 Fe 0.000 0.348 0.348
Si1 Si 0.250 0.250 0.250
```